For Fe5GeO8, a cell relaxed with GGA+U gives the simulated X-ray powder pattern in this record (Cu Kα).

Cell and atoms:
Unit cell a=6.0537 b=6.0537 c=6.0537 alpha=120.17 beta=120.17 gamma=89.70
Fractional positions:
Fe (0.0000, 0.0000, 0.0000)
Fe (0.1189, 0.3730, 0.7459)
Fe (0.6271, 0.3730, 0.2541)
Fe (0.6270, 0.3729, 0.7459)
Fe (0.6270, 0.8811, 0.2541)
Ge (0.2500, 0.7500, 0.5000)
O (0.3717, 0.1179, 0.7462)
O (0.3717, 0.6255, 0.2538)
O (0.3745, 0.6283, 0.7462)
O (0.3872, 0.1282, 0.2591)
O (0.8691, 0.1282, 0.7409)
O (0.8718, 0.1309, 0.2591)
O (0.8718, 0.6128, 0.7409)
O (0.8821, 0.6283, 0.2538)

The 6 most intense peaks (10 to 80 degrees two-theta), low angle first:
- 2θ = 29.54°, I = 47.3
- 2θ = 34.69°, I = 51.7
- 2θ = 34.83°, I = 100.0
- 2θ = 55.91°, I = 36.4
- 2θ = 61.25°, I = 44.6
- 2θ = 61.42°, I = 22.1